[1]
Theoretical powder diffractogram of Pu2MgIr for a wavelength of 1.5418 Å, from the GGA-PBE geometry in Alexandria.
Intensities are scaled so that the largest is 100.

Most intense lines, 10° ≤ 2θ ≤ 90°, most intense first:
h k l	2θ (°)	I/Imax
1 0 2	34.02	100
0 0 1	10.17	99
1 1 0	38.43	46
1 0 3	41.39	45
2 1 2	66.70	30
2 1 3	71.52	19
2 0 0	55.48	16
1 1 1	39.86	16
1 1 5	67.01	16
1 0 0	26.91	16

```
data_Pu2MgIr
_chemical_formula_sum 'Pu2 Mg1 Ir1'
_space_group_name_H-M_alt 'P 4/m m m'
_space_group_IT_number 123
_space_group_name_Hall '-P 4 2'
_cell_length_a 3.3126
_cell_length_b 3.3126
_cell_length_c 8.6973
_cell_angle_alpha 90.00
_cell_angle_beta 90.00
_cell_angle_gamma 90.00
loop_
_atom_site_label
_atom_site_fract_x
_atom_site_fract_y
_atom_site_fract_z
_atom_site_occupancy
Pu1 0.0000 0.0000 0.2027 1
Mg1 0.5000 0.5000 0.5000 1
Ir1 0.5000 0.5000 0.0000 1
```


[2]
Theoretical powder diffractogram of Nd5Sb2N for a wavelength of 1.5418 Å, from the GGA-PBE geometry in Alexandria.
Intensities are scaled so that the largest is 100.

Most intense lines, 10° ≤ 2θ ≤ 90°, most intense first:
h k l	2θ (°)	I/Imax
1 3 1	31.21	100
1 1 5	34.04	79
2 0 0	30.98	61
1 3 3	35.36	33
0 2 4	29.04	29
3 3 1	55.25	20
2 2 4	42.98	20
0 4 4	42.65	19
0 0 4	22.99	18
3 1 5	57.09	18

```
data_Nd5Sb2N
_chemical_formula_sum 'Nd20 Sb8 N4'
_space_group_name_H-M_alt 'F m m m'
_space_group_IT_number 69
_space_group_name_Hall '-F 2 2'
_cell_length_a 5.7731
_cell_length_b 10.1359
_cell_length_c 15.4728
_cell_angle_alpha 90.00
_cell_angle_beta 90.00
_cell_angle_gamma 90.00
loop_
_atom_site_label
_atom_site_fract_x
_atom_site_fract_y
_atom_site_fract_z
_atom_site_occupancy
Nd1 0.0000 0.0000 0.0000 1
Nd2 0.0000 0.1592 0.3817 1
Sb1 0.0000 0.0000 0.1944 1
N1 0.0000 0.0000 0.5000 1
```


[3]
Theoretical powder diffractogram of K2Hg4H5 for a wavelength of 1.5418 Å, from the GGA-PBE geometry in Alexandria.
Intensities are scaled so that the largest is 100.

Most intense lines, 10° ≤ 2θ ≤ 90°, most intense first:
h k l	2θ (°)	I/Imax
1 0 0	24.01	100
0 1 3	31.76	73
1 1 -1	29.87	68
0 1 -3	30.99	66
0 1 -1	17.50	61
0 2 0	30.73	53
1 1 -3	39.51	40
0 1 1	17.93	36
1 1 1	30.33	35
2 -1 3	59.36	29

```
data_K2Hg4H5
_chemical_formula_sum 'K2 Hg4 H5'
_space_group_name_H-M_alt 'P -1'
_space_group_IT_number 2
_cell_length_a 3.7070
_cell_length_b 5.8220
_cell_length_c 9.8170
_cell_angle_alpha 91.57
_cell_angle_beta 90.55
_cell_angle_gamma 90.45
loop_
_space_group_symop_operation_xyz
'x,y,z'
'-x,-y,-z'
loop_
_atom_site_label
_atom_site_fract_x
_atom_site_fract_y
_atom_site_fract_z
_atom_site_occupancy
K1 0.0040 0.3099 0.2726 1
Hg1 0.4887 0.1911 0.5955 1
Hg2 0.4970 0.2155 0.9019 1
H1 0.0028 0.7215 0.1141 1
H2 0.4995 0.1570 0.0991 1
H3 0.5000 0.5000 0.5000 1
```